Sr4Fe4O11: simulated powder X-ray diffraction pattern (Cu Kα), based on a DFT-relaxed cell (PBE+U, Alexandria).
No peak broadening, texture or thermal motion is included.

The 6 most intense peaks (10° ≤ 2θ ≤ 90°), by angle:
(0 4 0), 2θ 32.14, intensity 17; (2 2 1), 2θ 32.30, intensity 100; (0 4 2), 2θ 46.22, intensity 28; (2 6 1), 2θ 57.40, intensity 15; (2 2 3), 2θ 57.61, intensity 23; (0 0 4), 2θ 67.60, intensity 19

Atomic structure:
```
data_Sr4Fe4O11
_cell_length_a 7.8220
_cell_length_b 11.1392
_cell_length_c 5.5417
_cell_angle_alpha 90.00
_cell_angle_beta 90.00
_cell_angle_gamma 90.00
_space_group_name_H-M_alt 'C m m m'
_space_group_IT_number 65
_space_group_name_Hall '-C 2 2'
loop_
_atom_site_label
_atom_site_type_symbol
_atom_site_fract_x
_atom_site_fract_y
_atom_site_fract_z
Sr1 Sr 0.0000 0.0000 0.0000
Sr2 Sr 0.0000 0.2414 0.5000
Sr3 Sr 0.0000 0.5000 0.0000
Fe1 Fe 0.2455 0.0000 0.5000
Fe2 Fe 0.2500 0.2500 0.0000
O1 O 0.0000 0.0000 0.5000
O2 O 0.0000 0.2259 0.0000
O3 O 0.2201 0.3787 0.2598
```